For CoAs2O4, a crystal structure in the Materials Project, relaxed with PBE+U gives the simulated XRD peak list in this record (Cu Kα X-rays).
Peak positions follow from Bragg's law for the DFT cell and can differ from measured ones.

Main lines, sorted by position (5° ≤ 2θ ≤ 70°):
2θ 14.81, rel. 39; 2θ 21.01, rel. 16; 2θ 28.19, rel. 100; 2θ 29.88, rel. 37; 2θ 33.51, rel. 26; 2θ 34.46, rel. 16; 2θ 37.69, rel. 40; 2θ 47.01, rel. 45; 2θ 53.35, rel. 17; 2θ 56.04, rel. 30

Atomic structure:
```
data_CoAs2O4
_space_group_name_H-M_alt 'P 42/m b c'
_space_group_IT_number 135
_space_group_name_Hall '-P 4c 2ab'
_cell_length_a 8.4571
_cell_length_b 8.4571
_cell_length_c 5.7819
_cell_angle_alpha 90.00
_cell_angle_beta 90.00
_cell_angle_gamma 90.00
loop_
_atom_site_label
_atom_site_type_symbol
_atom_site_fract_x
_atom_site_fract_y
_atom_site_fract_z
Co1 Co 0.0000 0.5000 0.2500
As1 As 0.1726 0.1881 0.0000
O1 O 0.1063 0.3617 0.5000
O2 O 0.1827 0.6827 0.2500
```



For CoAs2O6, a crystal structure in the Materials Project, relaxed with PBE+U gives the simulated XRD peak list in this record (Cu Kα X-rays).
Peak positions follow from Bragg's law for the DFT cell and can differ from measured ones.

Main lines, sorted by position (5° ≤ 2θ ≤ 70°):
2θ 19.48, rel. 26; 2θ 28.88, rel. 100; 2θ 36.99, rel. 37; 2θ 39.56, rel. 5; 2θ 42.14, rel. 24; 2θ 47.59, rel. 23; 2θ 55.27, rel. 51; 2θ 61.76, rel. 21; 2θ 65.32, rel. 8; 2θ 66.65, rel. 18

Atomic structure:
```
data_CoAs2O6
_space_group_name_H-M_alt 'P -3 1 m'
_space_group_IT_number 162
_space_group_name_Hall '-P 3 2'
_cell_length_a 4.8610
_cell_length_b 4.8610
_cell_length_c 4.5557
_cell_angle_alpha 90.00
_cell_angle_beta 90.00
_cell_angle_gamma 120.00
loop_
_atom_site_label
_atom_site_type_symbol
_atom_site_fract_x
_atom_site_fract_y
_atom_site_fract_z
Co1 Co 0.0000 0.0000 0.0000
As1 As 0.3333 0.6667 0.5000
O1 O 0.0000 0.3628 0.2743
```



For Co2AsO5, a crystal structure in the Materials Project, relaxed with PBE+U gives the simulated XRD peak list in this record (Cu Kα X-rays).
Peak positions follow from Bragg's law for the DFT cell and can differ from measured ones.

Main lines, sorted by position (5° ≤ 2θ ≤ 70°):
2θ 14.89, rel. 37; 2θ 18.25, rel. 59; 2θ 21.11, rel. 41; 2θ 23.65, rel. 24; 2θ 30.03, rel. 67; 2θ 33.67, rel. 63; 2θ 35.37, rel. 14; 2θ 36.99, rel. 100; 2θ 55.69, rel. 19; 2θ 57.98, rel. 72

Atomic structure:
```
data_Co2AsO5
_space_group_name_H-M_alt 'P n n m'
_space_group_IT_number 58
_cell_length_a 8.4089
_cell_length_b 8.4170
_cell_length_c 5.9583
_cell_angle_alpha 90.00
_cell_angle_beta 90.00
_cell_angle_gamma 90.00
loop_
_space_group_symop_operation_xyz
'x,y,z'
'-x,-y,-z'
'-x,-y,z'
'x,y,-z'
'x+1/2,-y+1/2,-z+1/2'
'-x+1/2,y+1/2,z+1/2'
'-x+1/2,y+1/2,-z+1/2'
'x+1/2,-y+1/2,z+1/2'
loop_
_atom_site_label
_atom_site_type_symbol
_atom_site_fract_x
_atom_site_fract_y
_atom_site_fract_z
Co1 Co 0.0000 0.0000 0.2452
Co2 Co 0.1216 0.3473 0.0000
As1 As 0.2476 0.7446 0.0000
O1 O 0.0696 0.1246 0.0000
O2 O 0.0708 0.1409 0.5000
O3 O 0.1062 0.5974 0.0000
O4 O 0.2334 0.8626 0.2352
```